(1)
For MgZn2Cu8, a PBE-relaxed structure gives the theoretical X-ray powder pattern in this record (λ = 1.5418 Å (Cu Kα)).
Lines closer than 0.1° are merged.

The 8 most intense peaks (5° ≤ 2θ ≤ 70°), sorted by position:
- 2θ 14.12, intensity 78, (0 0 2)
- 2θ 37.36, intensity 136, (0 1 5)
- 2θ 42.53, intensity 307, (0 4 0)
- 2θ 43.26, intensity 204, (0 0 6)
- 2θ 44.94, intensity 1000, (1 2 3)
- 2θ 48.47, intensity 119, (0 3 5)
- 2θ 62.28, intensity 117, (0 4 6)
- 2θ 68.51, intensity 72, (2 0 0)

Structural model:
```
data_MgZn2Cu8
_symmetry_space_group_name_H-M 'I m m m'
_symmetry_Int_Tables_number 71
_symmetry_space_group_name_Hall '-I 2 2'
_cell_length_a 2.7391
_cell_length_b 8.5033
_cell_length_c 12.5484
_cell_angle_alpha 90.00
_cell_angle_beta 90.00
_cell_angle_gamma 90.00
loop_
_atom_site_label
_atom_site_fract_x
_atom_site_fract_y
_atom_site_fract_z
Mg1 0.0000 0.0000 0.0000
Zn1 0.0000 0.0000 0.3650
Cu1 0.0000 0.2254 0.5000
Cu2 0.0000 0.2478 0.1655
Cu3 0.0000 0.5000 0.3103
```

(2)
For CaMg14Ga, a PBE-relaxed structure gives the theoretical X-ray powder pattern in this record (λ = 1.5418 Å (Cu Kα)).
Lines closer than 0.1° are merged.

The 8 most intense peaks (5° ≤ 2θ ≤ 70°), sorted by position:
- 2θ 31.88, intensity 256, (2 0 0)
- 2θ 34.84, intensity 244, (0 0 4)
- 2θ 36.46, intensity 1000, (2 0 2)
- 2θ 47.94, intensity 153, (2 0 4)
- 2θ 56.81, intensity 174, (2 2 0)
- 2θ 63.53, intensity 169, (2 0 6)
- 2θ 68.40, intensity 184, (2 2 4)
- 2θ 69.41, intensity 137, (4 0 2)

Structural model:
```
data_CaMg14Ga
_symmetry_space_group_name_H-M 'P -6 m 2'
_symmetry_Int_Tables_number 187
_symmetry_space_group_name_Hall 'P -6 2'
_cell_length_a 6.4823
_cell_length_b 6.4823
_cell_length_c 10.2996
_cell_angle_alpha 90.00
_cell_angle_beta 90.00
_cell_angle_gamma 120.00
loop_
_atom_site_label
_atom_site_fract_x
_atom_site_fract_y
_atom_site_fract_z
Ca1 0.0000 0.0000 0.0000
Mg1 0.0087 0.5044 0.0000
Mg2 0.1658 0.3316 0.2634
Mg3 0.5043 0.0086 0.5000
Mg4 0.6667 0.3333 0.2443
Ga1 0.0000 0.0000 0.5000
```

(3)
For SrHoSn2Hg2, a PBE-relaxed structure gives the theoretical X-ray powder pattern in this record (λ = 1.5418 Å (Cu Kα)).
Lines closer than 0.1° are merged.

The 8 most intense peaks (5° ≤ 2θ ≤ 70°), sorted by position:
- 2θ 10.63, intensity 390, (0 0 1)
- 2θ 30.18, intensity 1000, (1 0 2)
- 2θ 36.93, intensity 733, (1 1 0)
- 2θ 38.87, intensity 181, (1 0 3)
- 2θ 48.41, intensity 275, (0 2 2)
- 2θ 48.83, intensity 133, (0 1 4)
- 2θ 62.40, intensity 259, (2 1 2)
- 2θ 66.53, intensity 134, (3 0 0)

Structural model:
```
data_SrHoSn2Hg2
_symmetry_space_group_name_H-M 'P -3 m 1'
_symmetry_Int_Tables_number 164
_symmetry_space_group_name_Hall '-P 3 2"'
_cell_length_a 4.8684
_cell_length_b 4.8684
_cell_length_c 8.3191
_cell_angle_alpha 90.00
_cell_angle_beta 90.00
_cell_angle_gamma 120.00
loop_
_atom_site_label
_atom_site_fract_x
_atom_site_fract_y
_atom_site_fract_z
Sr1 0.0000 0.0000 0.0000
Ho1 0.0000 0.0000 0.5000
Sn1 0.3333 0.6667 0.7550
Hg1 0.3333 0.6667 0.3333
```

(4)
For TiCuIrRh, a PBE-relaxed structure gives the theoretical X-ray powder pattern in this record (λ = 1.5418 Å (Cu Kα)).
Lines closer than 0.1° are merged.

The 8 most intense peaks (5° ≤ 2θ ≤ 70°), sorted by position:
- 2θ 22.53, intensity 97, (0 0 1)
- 2θ 24.84, intensity 172, (1 0 0)
- 2θ 32.09, intensity 181, (0 1 1)
- 2θ 41.00, intensity 1000, (1 1 1)
- 2θ 46.02, intensity 357, (0 2 0)
- 2θ 50.96, intensity 131, (2 0 0)
- 2θ 53.00, intensity 94, (1 2 0)
- 2θ 67.12, intensity 112, (0 2 2)

Structural model:
```
data_TiCuIrRh
_symmetry_space_group_name_H-M 'P m m m'
_symmetry_Int_Tables_number 47
_cell_length_a 3.5840
_cell_length_b 3.9420
_cell_length_c 3.9470
_cell_angle_alpha 90.00
_cell_angle_beta 90.00
_cell_angle_gamma 90.00
loop_
_symmetry_equiv_pos_as_xyz
'x,y,z'
'-x,-y,-z'
'-x,-y,z'
'x,y,-z'
'x,-y,-z'
'-x,y,z'
'-x,y,-z'
'x,-y,z'
loop_
_atom_site_label
_atom_site_fract_x
_atom_site_fract_y
_atom_site_fract_z
Ti1 0.0000 0.0000 0.0000
Cu1 0.0000 0.5000 0.5000
Ir1 0.5000 0.0000 0.5000
Rh1 0.5000 0.5000 0.0000
```

(5)
For AcSn3Rh5, a PBE-relaxed structure gives the theoretical X-ray powder pattern in this record (λ = 1.5418 Å (Cu Kα)).
Lines closer than 0.1° are merged.

The 8 most intense peaks (5° ≤ 2θ ≤ 70°), sorted by position:
- 2θ 29.65, intensity 219, (4 0 2)
- 2θ 30.40, intensity 1000, (1 1 3)
- 2θ 35.69, intensity 358, (3 1 -3)
- 2θ 35.95, intensity 405, (1 1 4)
- 2θ 38.77, intensity 350, (5 1 0)
- 2θ 39.46, intensity 239, (5 1 1)
- 2θ 41.59, intensity 588, (0 2 0)
- 2θ 46.29, intensity 482, (3 1 5)

Structural model:
```
data_AcSn3Rh5
_symmetry_space_group_name_H-M 'C 1 2/m 1'
_symmetry_Int_Tables_number 12
_cell_length_a 13.7447
_cell_length_b 4.3432
_cell_length_c 12.5269
_cell_angle_alpha 90.00
_cell_angle_beta 90.05
_cell_angle_gamma 90.00
loop_
_symmetry_equiv_pos_as_xyz
'x,y,z'
'-x,-y,-z'
'-x,y,-z'
'x,-y,z'
'x+1/2,y+1/2,z'
'-x+1/2,-y+1/2,-z'
'-x+1/2,y+1/2,-z'
'x+1/2,-y+1/2,z'
loop_
_atom_site_label
_atom_site_fract_x
_atom_site_fract_y
_atom_site_fract_z
Ac1 0.2352 0.0000 0.2500
Sn1 0.0588 0.0000 0.7499
Sn2 0.1251 0.5000 0.0539
Sn3 0.1250 0.5000 0.4459
Rh1 0.0000 0.0000 0.0000
Rh2 0.0000 0.0000 0.5000
Rh3 0.0513 0.5000 0.8645
Rh4 0.0521 0.5000 0.6354
Rh5 0.1877 0.0000 0.5719
Rh6 0.1880 0.0000 0.9281
```